# HoPu3Mn3
Theoretical X-ray powder pattern, λ = 1.5418 Å (Cu Kα). Input: a cell relaxed with PBE.
Kinematic intensities with the Lorentz-polarization factor, no thermal factor.

Peak list (12 most intense, 10 to 90 degrees two-theta, in order of rising 2θ)
| Position (°2θ) | Rel. int. |
| --- | --- |
| 26.40 | 42 |
| 29.58 | 77 |
| 32.48 | 100 |
| 46.59 | 30 |
| 48.61 | 21 |
| 50.58 | 58 |
| 54.34 | 31 |
| 63.09 | 20 |
| 75.87 | 18 |
| 77.41 | 17 |
| 80.45 | 20 |
| 89.46 | 18 |

Crystal structure
Cell lengths 6.7526, 6.7526, 6.7526 Å; angles 90.00, 90.00, 90.00 degrees
Positions (direct):
Ho1 0.0000 0.0000 0.0000
Ho2 0.5000 0.5000 0.5000
Pu1 0.0000 0.2500 0.5000
Pu2 0.0000 0.7500 0.5000
Pu3 0.2500 0.5000 0.0000
Pu4 0.5000 0.0000 0.2500
Pu5 0.5000 0.0000 0.7500
Pu6 0.7500 0.5000 0.0000
Mn1 0.0000 0.5000 0.2500
Mn2 0.0000 0.5000 0.7500
Mn3 0.2500 0.0000 0.5000
Mn4 0.5000 0.2500 0.0000
Mn5 0.5000 0.7500 0.0000
Mn6 0.7500 0.0000 0.5000

# Th6BI15
Theoretical X-ray powder pattern, λ = 1.5418 Å (Cu Kα). Input: a cell relaxed with PBE.
Kinematic intensities with the Lorentz-polarization factor, no thermal factor.

Peak list (12 most intense, 10 to 90 degrees two-theta, in order of rising 2θ)
| Position (°2θ) | Rel. int. |
| --- | --- |
| 10.20 | 43 |
| 17.71 | 19 |
| 20.48 | 13 |
| 27.20 | 46 |
| 29.12 | 100 |
| 34.29 | 26 |
| 41.65 | 72 |
| 51.62 | 24 |
| 55.01 | 17 |
| 59.32 | 17 |
| 68.41 | 28 |
| 76.02 | 20 |

Crystal structure
Cell lengths 10.6231, 10.6231, 10.6231 Å; angles 109.47, 109.47, 109.47 degrees
Positions (direct):
Th1 0.0000 0.2254 0.2254
Th2 0.0000 0.7746 0.7746
Th3 0.2254 0.0000 0.2254
Th4 0.2254 0.2254 0.0000
Th5 0.7746 0.0000 0.7746
Th6 0.7746 0.7746 0.0000
B1 0.0000 0.0000 0.0000
I1 0.0000 0.2533 0.7467
I2 0.0000 0.5000 0.5000
I3 0.0000 0.7467 0.2533
I4 0.2533 0.0000 0.7467
I5 0.2533 0.2533 0.5067
I6 0.2533 0.5067 0.2533
I7 0.2533 0.7467 0.0000
I8 0.4933 0.7467 0.7467
I9 0.5000 0.0000 0.5000
I10 0.5000 0.5000 0.0000
I11 0.5067 0.2533 0.2533
I12 0.7467 0.0000 0.2533
I13 0.7467 0.2533 0.0000
I14 0.7467 0.4933 0.7467
I15 0.7467 0.7467 0.4933

# Ac4Ge8Ir
Theoretical X-ray powder pattern, λ = 1.5418 Å (Cu Kα). Input: a cell relaxed with PBE.
Kinematic intensities with the Lorentz-polarization factor, no thermal factor.

Peak list (12 most intense, 10 to 90 degrees two-theta, in order of rising 2θ)
| Position (°2θ) | Rel. int. |
| --- | --- |
| 23.24 | 27 |
| 29.59 | 31 |
| 31.84 | 44 |
| 32.81 | 100 |
| 36.55 | 30 |
| 40.64 | 25 |
| 42.85 | 22 |
| 45.40 | 15 |
| 54.37 | 20 |
| 55.79 | 19 |
| 60.53 | 16 |
| 64.13 | 14 |

Crystal structure
Cell lengths 4.2207, 4.4403, 18.1477 Å; angles 90.00, 90.00, 90.00 degrees
Positions (direct):
Ac1 0.0000 0.0000 0.0000
Ac2 0.0000 0.5000 0.4991
Ac3 0.5000 0.0000 0.2181
Ac4 0.5000 0.5000 0.7177
Ge1 0.0000 0.0000 0.3635
Ge2 0.0000 0.0000 0.6509
Ge3 0.0000 0.5000 0.1459
Ge4 0.0000 0.5000 0.8517
Ge5 0.5000 0.0000 0.5664
Ge6 0.5000 0.0000 0.8508
Ge7 0.5000 0.5000 0.0624
Ge8 0.5000 0.5000 0.3523
Ir1 0.5000 0.5000 0.9235

# Cs2Na3CeF12
Theoretical X-ray powder pattern, λ = 1.5418 Å (Cu Kα). Input: a cell relaxed with PBE.
Kinematic intensities with the Lorentz-polarization factor, no thermal factor.

Peak list (12 most intense, 10 to 90 degrees two-theta, in order of rising 2θ)
| Position (°2θ) | Rel. int. |
| --- | --- |
| 15.59 | 71 |
| 22.57 | 66 |
| 25.32 | 73 |
| 26.10 | 100 |
| 27.55 | 25 |
| 34.17 | 45 |
| 41.34 | 38 |
| 41.85 | 26 |
| 44.16 | 26 |
| 46.08 | 43 |
| 53.30 | 23 |
| 62.32 | 18 |

Crystal structure
Cell lengths 8.2170, 8.2170, 8.2170 Å; angles 57.30, 57.30, 57.30 degrees
Positions (direct):
Cs1 0.1096 0.1096 0.1096
Cs2 0.8904 0.8904 0.8904
Na1 0.0000 0.5000 0.5000
Na2 0.5000 0.0000 0.5000
Na3 0.5000 0.5000 0.0000
Ce1 0.5000 0.5000 0.5000
F1 0.1528 0.1528 0.6600
F2 0.1528 0.6600 0.1528
F3 0.1744 0.5763 0.5763
F4 0.3400 0.8472 0.8472
F5 0.4237 0.4237 0.8256
F6 0.4237 0.8256 0.4237
F7 0.5763 0.1744 0.5763
F8 0.5763 0.5763 0.1744
F9 0.6600 0.1528 0.1528
F10 0.8256 0.4237 0.4237
F11 0.8472 0.3400 0.8472
F12 0.8472 0.8472 0.3400

# MgNi5H11
Theoretical X-ray powder pattern, λ = 1.5418 Å (Cu Kα). Input: a cell relaxed with PBE.
Kinematic intensities with the Lorentz-polarization factor, no thermal factor.

Peak list (12 most intense, 10 to 90 degrees two-theta, in order of rising 2θ)
| Position (°2θ) | Rel. int. |
| --- | --- |
| 23.10 | 94 |
| 30.18 | 34 |
| 37.03 | 100 |
| 39.74 | 41 |
| 40.99 | 46 |
| 41.24 | 39 |
| 44.94 | 35 |
| 46.85 | 30 |
| 54.79 | 13 |
| 56.30 | 18 |
| 62.14 | 13 |
| 62.72 | 13 |

Crystal structure
Cell lengths 5.1421, 5.1421, 4.7448 Å; angles 102.85, 102.85, 101.07 degrees
Positions (direct):
Mg1 0.0000 0.0000 0.0000
Ni1 0.0094 0.3659 0.7083
Ni2 0.3659 0.0094 0.7083
Ni3 0.5000 0.5000 0.0000
Ni4 0.6341 0.9906 0.2917
Ni5 0.9906 0.6341 0.2917
H1 0.0000 0.0000 0.5000
H2 0.1384 0.6855 0.6533
H3 0.1788 0.4648 0.0723
H4 0.3145 0.8616 0.3467
H5 0.3241 0.3241 0.6589
H6 0.4648 0.1788 0.0723
H7 0.5352 0.8212 0.9277
H8 0.6759 0.6759 0.3411
H9 0.6855 0.1384 0.6533
H10 0.8212 0.5352 0.9277
H11 0.8616 0.3145 0.3467

# TbDy2TmTl2
Theoretical X-ray powder pattern, λ = 1.5418 Å (Cu Kα). Input: a cell relaxed with PBE.
Kinematic intensities with the Lorentz-polarization factor, no thermal factor.

Peak list (12 most intense, 10 to 90 degrees two-theta, in order of rising 2θ)
| Position (°2θ) | Rel. int. |
| --- | --- |
| 30.00 | 21 |
| 31.55 | 63 |
| 31.78 | 22 |
| 32.29 | 100 |
| 32.85 | 84 |
| 34.93 | 39 |
| 35.37 | 61 |
| 37.84 | 26 |
| 52.76 | 20 |
| 61.56 | 16 |
| 61.91 | 16 |
| 69.15 | 14 |

Crystal structure
Cell lengths 5.0760, 9.9276, 6.8373 Å; angles 90.00, 90.00, 90.00 degrees
Positions (direct):
Tb1 0.0000 0.0438 0.0000
Tb2 0.0000 0.9562 0.5000
Dy1 0.0000 0.3138 0.3771
Dy2 0.0000 0.6862 0.8771
Dy3 0.5000 0.4554 0.0930
Dy4 0.5000 0.5446 0.5930
Tm1 0.5000 0.1893 0.7161
Tm2 0.5000 0.8107 0.2161
Tl1 0.0000 0.3646 0.8381
Tl2 0.0000 0.6354 0.3381
Tl3 0.5000 0.1306 0.2589
Tl4 0.5000 0.8694 0.7589

# NaGa6
Theoretical X-ray powder pattern, λ = 1.5418 Å (Cu Kα). Input: a cell relaxed with PBE.
Kinematic intensities with the Lorentz-polarization factor, no thermal factor.

Peak list (12 most intense, 10 to 90 degrees two-theta, in order of rising 2θ)
| Position (°2θ) | Rel. int. |
| --- | --- |
| 17.48 | 99 |
| 24.82 | 42 |
| 30.52 | 100 |
| 35.39 | 17 |
| 39.73 | 25 |
| 43.71 | 72 |
| 47.41 | 57 |
| 50.91 | 43 |
| 57.44 | 16 |
| 66.45 | 16 |
| 74.87 | 26 |
| 82.97 | 15 |

Crystal structure
Cell lengths 6.2131, 6.2131, 6.2131 Å; angles 109.47, 109.47, 109.47 degrees
Positions (direct):
Na1 0.0000 0.0000 0.0000
Ga1 0.2500 0.5000 0.7500
Ga2 0.2500 0.7500 0.5000
Ga3 0.5000 0.2500 0.7500
Ga4 0.5000 0.7500 0.2500
Ga5 0.7500 0.2500 0.5000
Ga6 0.7500 0.5000 0.2500

# Tm6AsO12
Theoretical X-ray powder pattern, λ = 1.5418 Å (Cu Kα). Input: a cell relaxed with PBE.
Kinematic intensities with the Lorentz-polarization factor, no thermal factor.

Peak list (12 most intense, 10 to 90 degrees two-theta, in order of rising 2θ)
| Position (°2θ) | Rel. int. |
| --- | --- |
| 18.51 | 11 |
| 29.28 | 34 |
| 30.11 | 100 |
| 34.67 | 47 |
| 34.87 | 7 |
| 49.30 | 28 |
| 50.38 | 26 |
| 58.38 | 13 |
| 59.34 | 24 |
| 59.81 | 12 |
| 62.60 | 10 |
| 81.92 | 8 |

Crystal structure
Cell lengths 6.3189, 6.3189, 6.3189 Å; angles 98.66, 98.66, 98.66 degrees
Positions (direct):
Tm1 0.1107 0.6393 0.7992
Tm2 0.2008 0.8893 0.3607
Tm3 0.3607 0.2008 0.8893
Tm4 0.6393 0.7992 0.1107
Tm5 0.7992 0.1107 0.6393
Tm6 0.8893 0.3607 0.2008
As1 0.5000 0.5000 0.5000
O1 0.0608 0.3224 0.9098
O2 0.0902 0.9392 0.6776
O3 0.2047 0.5336 0.4347
O4 0.3224 0.9098 0.0608
O5 0.4347 0.2047 0.5336
O6 0.4664 0.5653 0.7953
O7 0.5336 0.4347 0.2047
O8 0.5653 0.7953 0.4664
O9 0.6776 0.0902 0.9392
O10 0.7953 0.4664 0.5653
O11 0.9098 0.0608 0.3224
O12 0.9392 0.6776 0.0902